No. 1
Calculated powder diffractogram of Dy3SnI7 for Cu Kα (weighted mean of Kα1 and Kα2), from DFT lattice parameters and positions (GGA-PBE).

The 6 most intense peaks (2θ = 15–90°), in order of rising 2θ:
| d/Å | 2θ (°) | intensity |
| --- | --- | --- |
| 3.368 | 26.5 | 100 |
| 2.619 | 34.2 | 51 |
| 2.199 | 41.1 | 35 |
| 2.034 | 44.5 | 26 |
| 1.841 | 49.5 | 18 |
| 1.395 | 67.1 | 15 |

Atomic structure:
a b c (Å): 8.7943 8.7943 7.2172
angles (deg): 90.00 90.00 120.00
Atoms (fractional coordinates):
Dy  0.0066  0.5033  0.0000
Dy  0.4967  0.5033  0.0000
Dy  0.4967  0.9934  0.0000
Sn  0.3333  0.6667  0.7409
I  0.1723  0.3446  0.2495
I  0.1723  0.8277  0.2495
I  0.3384  0.1692  0.7686
I  0.6554  0.8277  0.2495
I  0.6667  0.3333  0.2515
I  0.8308  0.1692  0.7686
I  0.8308  0.6616  0.7686


No. 2
Calculated powder diffractogram of SrDyI6 for Cu Kα (weighted mean of Kα1 and Kα2), from DFT lattice parameters and positions (GGA-PBE).

The 6 most intense peaks (2θ = 15–90°), in order of rising 2θ:
| d/Å | 2θ (°) | intensity |
| --- | --- | --- |
| 3.417 | 26.1 | 100 |
| 3.392 | 26.3 | 79 |
| 2.580 | 34.8 | 28 |
| 2.569 | 34.9 | 27 |
| 2.557 | 35.1 | 28 |
| 2.278 | 39.6 | 66 |

Atomic structure:
a b c (Å): 7.8877 7.8907 8.1187
angles (deg): 61.45 61.42 60.06
Atoms (fractional coordinates):
Sr  0.0000  0.0000  0.0000
Dy  0.5000  0.5000  0.5000
I  0.0863  0.4428  0.7474
I  0.2743  0.9165  0.2564
I  0.4468  0.7202  0.7513
I  0.5532  0.2798  0.2487
I  0.7257  0.0835  0.7436
I  0.9137  0.5572  0.2526


No. 3
Calculated powder diffractogram of TbDyI6 for Cu Kα (weighted mean of Kα1 and Kα2), from DFT lattice parameters and positions (GGA-PBE).

The 6 most intense peaks (2θ = 15–90°), in order of rising 2θ:
| d/Å | 2θ (°) | intensity |
| --- | --- | --- |
| 5.586 | 15.9 | 46 |
| 3.229 | 27.6 | 100 |
| 3.031 | 29.5 | 45 |
| 2.400 | 37.5 | 33 |
| 2.210 | 40.8 | 69 |
| 1.881 | 48.4 | 32 |

Atomic structure:
a b c (Å): 8.1047 8.1047 7.4716
angles (deg): 98.38 98.38 125.10
Atoms (fractional coordinates):
Tb  0.0000  0.0000  0.0000
Dy  0.5000  0.5000  0.5000
I  0.1029  0.3991  0.2511
I  0.2501  0.2501  0.7493
I  0.3991  0.1029  0.2511
I  0.6009  0.8971  0.7489
I  0.7499  0.7499  0.2507
I  0.8971  0.6009  0.7489